Diffraction record for Li4Nb3Fe2Ni3O16. The PXRD pattern is simulated, not measured: it uses a DFT-relaxed cell (GGA+U, the Materials Project) and Cu Kα X-rays.
No peak broadening, texture or thermal motion is included.

Most intense lines, 2θ = 10–90°, by intensity:
18.11°, I 100
19.19°, I 69
35.61°, I 43
44.19°, I 42
34.81°, I 36
61.75°, I 27
35.44°, I 26
58.61°, I 26
19.30°, I 26
44.57°, I 22

Atomic structure:
abc: 10.383 6.058 9.796
angles: 90.00 90.97 90.00
Space group Cm (No. 8)
Symmetry-distinct sites (fractional):
Li 0.000 0.000 0.000 (multiplicity 2)
Li 0.014 0.000 0.518 (multiplicity 2)
Li 0.160 0.500 0.103 (multiplicity 2)
Li 0.326 0.000 0.621 (multiplicity 2)
Nb 0.317 0.500 0.787 (multiplicity 2)
Nb 0.405 0.248 0.290 (multiplicity 4)
Fe 0.140 0.500 0.527 (multiplicity 2)
Fe 0.316 0.000 0.993 (multiplicity 2)
Ni 0.079 0.255 0.792 (multiplicity 4)
Ni 0.166 0.000 0.292 (multiplicity 2)
O 0.013 0.500 0.675 (multiplicity 2)
O 0.070 0.250 0.406 (multiplicity 4)
O 0.154 0.000 0.898 (multiplicity 2)
O 0.157 0.500 0.901 (multiplicity 2)
O 0.240 0.280 0.657 (multiplicity 4)
O 0.256 0.225 0.163 (multiplicity 4)
O 0.333 0.500 0.402 (multiplicity 2)
O 0.335 0.000 0.408 (multiplicity 2)
O 0.398 0.258 0.908 (multiplicity 4)
O 0.480 0.000 0.177 (multiplicity 2)
O 0.490 0.500 0.188 (multiplicity 2)
O 0.497 0.500 0.703 (multiplicity 2)

Diffraction record for Li4Nb2Fe3Ni3O16. The PXRD pattern is simulated, not measured: it uses a DFT-relaxed cell (GGA+U, the Materials Project) and Cu Kα X-rays.
No peak broadening, texture or thermal motion is included.

Most intense lines, 2θ = 10–90°, by intensity:
19.72°, I 100
35.76°, I 82
19.55°, I 63
35.11°, I 52
18.30°, I 45
36.25°, I 43
33.00°, I 40
62.51°, I 40
45.52°, I 37
19.26°, I 30

Atomic structure:
abc: 10.339 5.873 9.699
angles: 90.00 91.40 90.00
Space group Cm (No. 8)
Symmetry-distinct sites (fractional):
Li 0.000 0.000 0.000 (multiplicity 2)
Li 0.001 0.000 0.502 (multiplicity 2)
Li 0.163 0.500 0.086 (multiplicity 2)
Li 0.338 0.000 0.593 (multiplicity 2)
Nb 0.172 0.500 0.499 (multiplicity 2)
Nb 0.329 0.000 0.996 (multiplicity 2)
Fe 0.329 0.500 0.774 (multiplicity 2)
Fe 0.412 0.245 0.273 (multiplicity 4)
Ni 0.086 0.253 0.777 (multiplicity 4)
Ni 0.169 0.000 0.279 (multiplicity 2)
O 0.003 0.000 0.690 (multiplicity 2)
O 0.023 0.500 0.656 (multiplicity 2)
O 0.080 0.252 0.404 (multiplicity 4)
O 0.158 0.000 0.895 (multiplicity 2)
O 0.161 0.500 0.877 (multiplicity 2)
O 0.246 0.276 0.646 (multiplicity 4)
O 0.258 0.226 0.146 (multiplicity 4)
O 0.333 0.500 0.397 (multiplicity 2)
O 0.337 0.000 0.382 (multiplicity 2)
O 0.409 0.251 0.901 (multiplicity 4)
O 0.479 0.000 0.147 (multiplicity 2)
O 0.498 0.500 0.188 (multiplicity 2)